No. 1
Calculated powder X-ray diffraction pattern of Li4Be for Cu Kα (λ = 1.5418 Å), from the GGA-PBE geometry in Alexandria.
No peak broadening, texture or thermal motion is included.

Most intense lines, 2θ = 10–90°, by intensity:
Position (°2θ)	intensity
38.38	100.0
55.40	68.6
33.07	58.6
18.92	51.7
26.88	33.9
66.06	24.8
69.40	22.8
43.12	13.9
47.47	10.2
82.20	10.1

```
data_Li4Be
_chemical_formula_sum 'Li4 Be1'
_cell_length_a 4.6910
_cell_length_b 4.6910
_cell_length_c 4.6910
_cell_angle_alpha 90.00
_cell_angle_beta 90.00
_cell_angle_gamma 90.00
_symmetry_space_group_name_H-M 'P 1'
_symmetry_Int_Tables_number 1
loop_
_symmetry_equiv_pos_as_xyz
'x,y,z'
loop_
_atom_site_label
_atom_site_fract_x
_atom_site_fract_y
_atom_site_fract_z
Li1 0.0000 0.0000 0.0000
Li2 0.0000 0.5000 0.5000
Li3 0.5000 0.0000 0.5000
Li4 0.5000 0.5000 0.0000
Be1 0.5000 0.5000 0.5000
```

***

No. 2
Calculated powder X-ray diffraction pattern of DyThSc14 for Cu Kα (λ = 1.5418 Å), from the GGA-PBE geometry in Alexandria.
No peak broadening, texture or thermal motion is included.

Most intense lines, 2θ = 10–90°, by intensity:
Position (°2θ)	intensity
35.35	100.0
35.50	47.2
34.30	34.5
17.53	31.1
30.78	28.2
15.33	21.0
54.96	18.6
62.11	18.6
66.40	18.2
22.94	17.2

```
data_DyThSc14
_chemical_formula_sum 'Dy1 Th1 Sc14'
_cell_length_a 10.4570
_cell_length_b 6.6837
_cell_length_c 6.6837
_cell_angle_alpha 60.38
_cell_angle_beta 90.00
_cell_angle_gamma 90.00
_symmetry_space_group_name_H-M 'P 1'
_symmetry_Int_Tables_number 1
loop_
_symmetry_equiv_pos_as_xyz
'x,y,z'
loop_
_atom_site_label
_atom_site_fract_x
_atom_site_fract_y
_atom_site_fract_z
Dy1 0.0000 0.0000 0.0000
Th1 0.0000 0.4979 0.4979
Sc1 0.0000 0.0011 0.5036
Sc2 0.0000 0.5036 0.0011
Sc3 0.2526 0.6684 0.6684
Sc4 0.2562 0.1704 0.1704
Sc5 0.2578 0.1701 0.6669
Sc6 0.2578 0.6669 0.1701
Sc7 0.5000 0.0007 0.5017
Sc8 0.5000 0.0019 0.0019
Sc9 0.5000 0.5017 0.0007
Sc10 0.5000 0.5017 0.5017
Sc11 0.7422 0.1701 0.6669
Sc12 0.7422 0.6669 0.1701
Sc13 0.7438 0.1704 0.1704
Sc14 0.7474 0.6684 0.6684
```

***

No. 3
Calculated powder X-ray diffraction pattern of Ho2GePb for Cu Kα (λ = 1.5418 Å), from the GGA-PBE geometry in Alexandria.
No peak broadening, texture or thermal motion is included.

Most intense lines, 2θ = 10–90°, by intensity:
Position (°2θ)	intensity
33.49	100.0
36.71	39.1
64.06	31.2
57.70	21.3
52.88	13.8
42.89	12.7
70.36	11.9
72.58	10.9
18.12	9.6
27.92	7.1

```
data_Ho2GePb
_chemical_formula_sum 'Ho2 Ge1 Pb1'
_cell_length_a 4.8968
_cell_length_b 4.8968
_cell_length_c 4.2172
_cell_angle_alpha 90.00
_cell_angle_beta 90.00
_cell_angle_gamma 90.00
_symmetry_space_group_name_H-M 'P 1'
_symmetry_Int_Tables_number 1
loop_
_symmetry_equiv_pos_as_xyz
'x,y,z'
loop_
_atom_site_label
_atom_site_fract_x
_atom_site_fract_y
_atom_site_fract_z
Ho1 0.0000 0.5000 0.0000
Ho2 0.5000 0.0000 0.0000
Ge1 0.0000 0.0000 0.5000
Pb1 0.5000 0.5000 0.5000
```

***

Q: Number 2 is which compound?
A: DyThSc14

***

Please write out number 3 again, unchanged.
Calculated powder X-ray diffraction pattern of Ho2GePb for Cu Kα (λ = 1.5418 Å), from the GGA-PBE geometry in Alexandria.
No peak broadening, texture or thermal motion is included.

Most intense lines, 2θ = 10–90°, by intensity:
Position (°2θ)	intensity
33.49	100.0
36.71	39.1
64.06	31.2
57.70	21.3
52.88	13.8
42.89	12.7
70.36	11.9
72.58	10.9
18.12	9.6
27.92	7.1

```
data_Ho2GePb
_chemical_formula_sum 'Ho2 Ge1 Pb1'
_cell_length_a 4.8968
_cell_length_b 4.8968
_cell_length_c 4.2172
_cell_angle_alpha 90.00
_cell_angle_beta 90.00
_cell_angle_gamma 90.00
_symmetry_space_group_name_H-M 'P 1'
_symmetry_Int_Tables_number 1
loop_
_symmetry_equiv_pos_as_xyz
'x,y,z'
loop_
_atom_site_label
_atom_site_fract_x
_atom_site_fract_y
_atom_site_fract_z
Ho1 0.0000 0.5000 0.0000
Ho2 0.5000 0.0000 0.0000
Ge1 0.0000 0.0000 0.5000
Pb1 0.5000 0.5000 0.5000
```